Diffraction record for Ag3F8. The powder diffractogram is simulated, not measured: it uses a DFT-relaxed cell (PBE, the Materials Project) and copper Kα.

The 10 most intense peaks (2θ from 10° to 90°), in order of rising 2θ:
(1 1 -1), 2θ = 18.8°, rel. 33; (1 2 -1), 2θ = 23.2°, rel. 54; (1 1 0), 2θ = 23.4°, rel. 83; (1 1 -2), 2θ = 26.1°, rel. 52; (0 3 1), 2θ = 28.5°, rel. 100; (2 1 -1), 2θ = 37.3°, rel. 24; (2 2 -2), 2θ = 38.1°, rel. 34; (1 4 1), 2θ = 47.6°, rel. 24; (0 6 0), 2θ = 47.8°, rel. 28; (0 3 3), 2θ = 55.4°, rel. 25

a = 5.233 Å, b = 11.401 Å, c = 7.169 Å
α = 90.00°, β = 129.47°, γ = 90.00°
Space group P2_1/c (No. 14)
Symmetry-distinct sites (fractional):
Ag (0.000, 0.000, 0.000) [2 per cell]
Ag (0.255, 0.184, 0.525) [4 per cell]
F (0.046, 0.717, 0.760) [4 per cell]
F (0.089, 0.035, 0.334) [4 per cell]
F (0.415, 0.171, 0.215) [4 per cell]
F (0.457, 0.588, 0.673) [4 per cell]